Entry 1:
Diffraction record for Al2O3. The XRD peak list is simulated, not measured: it uses DFT lattice parameters and positions (GGA-PBE) and Cu Kα (weighted mean of Kα1 and Kα2).

Atomic structure:
```
data_Al2O3
_chemical_formula_sum 'Al16 O24'
_space_group_name_H-M_alt 'P b c a'
_space_group_IT_number 61
_space_group_name_Hall '-P 2ac 2ab'
_cell_length_a 4.828
_cell_length_b 5.090
_cell_length_c 14.095
_cell_angle_alpha 90.00
_cell_angle_beta 90.00
_cell_angle_gamma 90.00
loop_
_atom_site_label
_atom_site_fract_x
_atom_site_fract_y
_atom_site_fract_z
Al1 0.000 0.185 0.073
Al2 0.002 0.247 0.321
O1 0.143 0.119 0.203
O2 0.154 0.663 0.550
O3 0.198 0.537 0.877
```

Main lines, by angle (10 to 90 degrees two-theta):
2θ 26.2, I = 30, hkl 1 1 1
2θ 35.3, I = 28, hkl 0 2 0
2θ 36.2, I = 100, hkl 1 1 4
2θ 41.9, I = 19, hkl 2 1 1
2θ 42.8, I = 36, hkl 1 0 6
2θ 51.9, I = 21, hkl 0 0 8
2θ 52.2, I = 37, hkl 2 2 0
2θ 58.0, I = 21, hkl 1 3 1
2θ 58.7, I = 19, hkl 1 1 8
2θ 63.9, I = 24, hkl 1 3 4
2θ 64.3, I = 21, hkl 0 2 8
2θ 66.5, I = 56, hkl 3 1 4

Entry 2:
Diffraction record for Lu2GaOs. The XRD peak list is simulated, not measured: it uses DFT lattice parameters and positions (GGA-PBE) and Cu Kα (weighted mean of Kα1 and Kα2).

Atomic structure:
```
data_Lu2GaOs
_chemical_formula_sum 'Lu8 Ga4 Os4'
_space_group_name_H-M_alt 'F m -3 m'
_space_group_IT_number 225
_space_group_name_Hall '-F 4 2 3'
_cell_length_a 6.816
_cell_length_b 6.816
_cell_length_c 6.816
_cell_angle_alpha 90.00
_cell_angle_beta 90.00
_cell_angle_gamma 90.00
loop_
_atom_site_label
_atom_site_fract_x
_atom_site_fract_y
_atom_site_fract_z
Lu1 0.250 0.250 0.250
Ga1 0.000 0.000 0.000
Os1 0.000 0.000 0.500
```

Main lines, by angle (10 to 90 degrees two-theta):
2θ 22.6, I = 8, hkl 1 1 1
2θ 26.1, I = 3, hkl 2 0 0
2θ 37.3, I = 100, hkl 2 2 0
2θ 44.1, I = 4, hkl 3 1 1
2θ 46.1, I = 1, hkl 2 2 2
2θ 53.8, I = 18, hkl 4 0 0
2θ 59.1, I = 2, hkl 3 3 1
2θ 60.8, I = 1, hkl 4 2 0
2θ 67.3, I = 36, hkl 4 2 2
2θ 72.0, I = 1, hkl 5 1 1
2θ 79.6, I = 11, hkl 4 4 0
2θ 84.0, I = 2, hkl 5 3 1

Entry 3:
Diffraction record for SmTh4O10. The XRD peak list is simulated, not measured: it uses DFT lattice parameters and positions (GGA-PBE) and Cu Kα (weighted mean of Kα1 and Kα2).

Atomic structure:
```
data_SmTh4O10
_chemical_formula_sum 'Sm2 Th8 O20'
_space_group_name_H-M_alt 'I 4/m'
_space_group_IT_number 87
_space_group_name_Hall '-I 4'
_cell_length_a 8.870
_cell_length_b 8.870
_cell_length_c 5.612
_cell_angle_alpha 90.00
_cell_angle_beta 90.00
_cell_angle_gamma 90.00
loop_
_atom_site_label
_atom_site_fract_x
_atom_site_fract_y
_atom_site_fract_z
Sm1 0.000 0.000 0.000
Th1 0.101 0.299 0.500
O1 0.000 0.500 0.250
O2 0.100 0.798 0.252
```

Main lines, by angle (10 to 90 degrees two-theta):
2θ 14.1, I = 1, hkl 1 1 0
2θ 18.7, I = 1, hkl 1 0 1
2θ 20.0, I = 1, hkl 2 0 0
2θ 27.5, I = 100, hkl 2 1 1
2θ 31.9, I = 36, hkl 1 3 0
2θ 45.7, I = 51, hkl 4 2 0
2θ 54.2, I = 48, hkl 5 0 1
2θ 56.8, I = 10, hkl 4 2 2
2θ 66.7, I = 8, hkl 2 6 0
2θ 73.6, I = 20, hkl 6 3 1
2θ 75.8, I = 14, hkl 7 1 0
2θ 84.6, I = 17, hkl 7 1 2

Entry 4:
Diffraction record for K2AlAuF6. The XRD peak list is simulated, not measured: it uses DFT lattice parameters and positions (GGA-PBE) and Cu Kα (weighted mean of Kα1 and Kα2).

Atomic structure:
```
data_K2AlAuF6
_chemical_formula_sum 'K8 Al4 Au4 F24'
_space_group_name_H-M_alt 'F m -3 m'
_space_group_IT_number 225
_space_group_name_Hall '-F 4 2 3'
_cell_length_a 8.623
_cell_length_b 8.623
_cell_length_c 8.623
_cell_angle_alpha 90.00
_cell_angle_beta 90.00
_cell_angle_gamma 90.00
loop_
_atom_site_label
_atom_site_fract_x
_atom_site_fract_y
_atom_site_fract_z
K1 0.250 0.250 0.250
Al1 0.000 0.000 0.000
Au1 0.000 0.000 0.500
F1 0.000 0.000 0.213
```

Main lines, by angle (10 to 90 degrees two-theta):
2θ 17.8, I = 53, hkl 1 1 1
2θ 20.6, I = 53, hkl 2 0 0
2θ 29.3, I = 100, hkl 2 2 0
2θ 34.5, I = 54, hkl 3 1 1
2θ 41.9, I = 40, hkl 4 0 0
2θ 45.9, I = 35, hkl 3 3 1
2θ 47.1, I = 22, hkl 4 2 0
2θ 52.0, I = 36, hkl 4 2 2
2θ 55.4, I = 16, hkl 3 3 3
2θ 60.8, I = 23, hkl 4 4 0
2θ 68.9, I = 20, hkl 6 2 0
2θ 84.0, I = 22, hkl 6 4 2

What did the third record say?
Diffraction record for SmTh4O10. The XRD peak list is simulated, not measured: it uses DFT lattice parameters and positions (GGA-PBE) and Cu Kα (weighted mean of Kα1 and Kα2).

Atomic structure:
```
data_SmTh4O10
_chemical_formula_sum 'Sm2 Th8 O20'
_space_group_name_H-M_alt 'I 4/m'
_space_group_IT_number 87
_space_group_name_Hall '-I 4'
_cell_length_a 8.870
_cell_length_b 8.870
_cell_length_c 5.612
_cell_angle_alpha 90.00
_cell_angle_beta 90.00
_cell_angle_gamma 90.00
loop_
_atom_site_label
_atom_site_fract_x
_atom_site_fract_y
_atom_site_fract_z
Sm1 0.000 0.000 0.000
Th1 0.101 0.299 0.500
O1 0.000 0.500 0.250
O2 0.100 0.798 0.252
```

Main lines, by angle (10 to 90 degrees two-theta):
2θ 14.1, I = 1, hkl 1 1 0
2θ 18.7, I = 1, hkl 1 0 1
2θ 20.0, I = 1, hkl 2 0 0
2θ 27.5, I = 100, hkl 2 1 1
2θ 31.9, I = 36, hkl 1 3 0
2θ 45.7, I = 51, hkl 4 2 0
2θ 54.2, I = 48, hkl 5 0 1
2θ 56.8, I = 10, hkl 4 2 2
2θ 66.7, I = 8, hkl 2 6 0
2θ 73.6, I = 20, hkl 6 3 1
2θ 75.8, I = 14, hkl 7 1 0
2θ 84.6, I = 17, hkl 7 1 2